[1]
This entry pairs a crystal structure of Zn2I with its theoretical XRD peak list. Radiation: Cu Kα, 1.54184 Å. Structure: DFT lattice parameters and positions (PBE).

The 6 most intense peaks (2θ from 10° to 90°), low angle first:
| two_theta | I_rel |
| --- | --- |
| 30.7 | 47.6 |
| 36.1 | 100.0 |
| 37.8 | 23.6 |
| 54.5 | 18.3 |
| 58.2 | 32.3 |
| 63.9 | 25.3 |

Structural model:
```
data_Zn2I
_cell_length_a 5.828
_cell_length_b 5.828
_cell_length_c 5.828
_cell_angle_alpha 60.00
_cell_angle_beta 60.00
_cell_angle_gamma 60.00
_space_group_name_H-M_alt 'P 1'
_space_group_IT_number 1
loop_
_space_group_symop_operation_xyz
'x,y,z'
loop_
_atom_site_label
_atom_site_type_symbol
_atom_site_fract_x
_atom_site_fract_y
_atom_site_fract_z
Zn1 Zn 0.000 0.000 0.000
Zn2 Zn 0.000 0.000 0.500
Zn3 Zn 0.000 0.500 0.000
Zn4 Zn 0.500 0.000 0.000
I1 I 0.375 0.375 0.375
I2 I 0.625 0.625 0.625
```

---

[2]
This entry pairs a crystal structure of Er3Lu4Te2Pt2 with its theoretical XRD peak list. Radiation: Cu Kα, 1.54184 Å. Structure: DFT lattice parameters and positions (PBE).

The 6 most intense peaks (2θ from 10° to 90°), low angle first:
| two_theta | I_rel |
| --- | --- |
| 30.2 | 38.1 |
| 33.4 | 44.9 |
| 34.0 | 100.0 |
| 34.5 | 42.3 |
| 38.5 | 25.2 |
| 46.3 | 27.1 |

Structural model:
```
data_Er3Lu4Te2Pt2
_cell_length_a 9.248
_cell_length_b 9.248
_cell_length_c 9.248
_cell_angle_alpha 155.52
_cell_angle_beta 67.20
_cell_angle_gamma 118.51
_space_group_name_H-M_alt 'P 1'
_space_group_IT_number 1
loop_
_space_group_symop_operation_xyz
'x,y,z'
loop_
_atom_site_label
_atom_site_type_symbol
_atom_site_fract_x
_atom_site_fract_y
_atom_site_fract_z
Er1 Er 0.000 0.000 0.000
Er2 Er 0.622 0.266 0.355
Er3 Er 0.911 0.266 0.645
Lu1 Lu 0.285 0.417 0.868
Lu2 Lu 0.310 0.626 0.683
Lu3 Lu 0.549 0.417 0.132
Lu4 Lu 0.943 0.626 0.317
Te1 Te 0.266 0.766 0.500
Te2 Te 0.660 0.660 0.000
Pt1 Pt 0.169 0.931 0.238
Pt2 Pt 0.693 0.931 0.762
```

---

[3]
This entry pairs a crystal structure of NbSCl3 with its theoretical XRD peak list. Radiation: Cu Kα, 1.54184 Å. Structure: DFT lattice parameters and positions (PBE).

The 6 most intense peaks (2θ from 10° to 90°), low angle first:
| two_theta | I_rel |
| --- | --- |
| 14.4 | 94.8 |
| 15.0 | 82.4 |
| 20.1 | 48.6 |
| 32.3 | 100.0 |
| 33.8 | 37.0 |
| 51.3 | 43.0 |

Structural model:
```
data_NbSCl3
_cell_length_a 6.908
_cell_length_b 6.908
_cell_length_c 8.245
_cell_angle_alpha 124.66
_cell_angle_beta 124.66
_cell_angle_gamma 62.09
_space_group_name_H-M_alt 'P 1'
_space_group_IT_number 1
loop_
_space_group_symop_operation_xyz
'x,y,z'
loop_
_atom_site_label
_atom_site_type_symbol
_atom_site_fract_x
_atom_site_fract_y
_atom_site_fract_z
Nb1 Nb 0.229 0.771 0.000
Nb2 Nb 0.771 0.229 0.000
S1 S 0.190 0.190 0.164
S2 S 0.810 0.810 0.836
Cl1 Cl 0.242 0.715 0.698
Cl2 Cl 0.285 0.758 0.302
Cl3 Cl 0.306 0.306 0.833
Cl4 Cl 0.694 0.694 0.167
Cl5 Cl 0.715 0.242 0.698
Cl6 Cl 0.758 0.285 0.302
```